Entry 1:
Structure and computed X-ray diffraction stick pattern of SrCe2S4 (DFT lattice parameters and positions (PBE); a wavelength of 1.5418 Å).
Intensities are scaled so that the largest is 100.

Largest 10 diffraction maxima, low angle first, 10 to 80 degrees two-theta:
- 2θ = 25.09°, d = 3.549 Å, I = 91
- 2θ = 32.58°, d = 2.749 Å, I = 100
- 2θ = 38.76°, d = 2.323 Å, I = 64
- 2θ = 46.73°, d = 1.944 Å, I = 39
- 2θ = 49.16°, d = 1.853 Å, I = 26
- 2θ = 51.51°, d = 1.774 Å, I = 9
- 2θ = 53.77°, d = 1.705 Å, I = 30
- 2θ = 58.12°, d = 1.587 Å, I = 8
- 2θ = 66.28°, d = 1.410 Å, I = 37
- 2θ = 70.16°, d = 1.341 Å, I = 15

Structural model:
abc: 8.6899 8.6899 8.6981
angles: 90.00 90.00 90.00
Space group I-42d (No. 122)
Inequivalent atoms, fractional coordinates:
Sr: 0.0000 0.0000 0.0000
Ce: 0.1258 0.7500 0.6250
S: 0.0762 0.6726 0.9418

---

Entry 2:
Structure and computed X-ray diffraction stick pattern of CeThS2 (DFT lattice parameters and positions (PBE); a wavelength of 1.5418 Å).
Intensities are scaled so that the largest is 100.

Largest 10 diffraction maxima, low angle first, 10 to 80 degrees two-theta:
- 2θ = 27.08°, d = 3.292 Å, I = 90
- 2θ = 31.37°, d = 2.851 Å, I = 100
- 2θ = 44.96°, d = 2.016 Å, I = 74
- 2θ = 53.24°, d = 1.721 Å, I = 30
- 2θ = 53.36°, d = 1.717 Å, I = 15
- 2θ = 55.85°, d = 1.646 Å, I = 26
- 2θ = 65.40°, d = 1.427 Å, I = 8
- 2θ = 72.25°, d = 1.308 Å, I = 12
- 2θ = 74.34°, d = 1.276 Å, I = 22
- 2θ = 74.52°, d = 1.273 Å, I = 11

Structural model:
abc: 4.0360 4.0360 5.6914
angles: 90.00 90.00 90.00
Space group P4/mmm (No. 123)
Inequivalent atoms, fractional coordinates:
Ce: 0.0000 0.0000 0.0000
Th: 0.5000 0.5000 0.5000
S: 0.0000 0.0000 0.5000
S: 0.5000 0.5000 0.0000